Starting from a crystal structure in OQMD, relaxed with PBE, the PXRD pattern of LaNbTeO6 was calculated for Cu Ka.

Largest 6 diffraction maxima, sorted by position, 15° ≤ 2θ ≤ 90°:
26.1°, intensity 100; 27.2°, intensity 58; 29.1°, intensity 76; 29.3°, intensity 72; 32.0°, intensity 43; 47.5°, intensity 42

Unit cell a=6.7464 b=7.4400 c=10.7099 alpha=79.50 beta=77.01 gamma=89.90
Fractional coordinates of all 36 atoms:
La 0.1679 0.2162 0.1571
La 0.2606 0.3609 0.4959
La 0.7394 0.6391 0.5041
La 0.8321 0.7838 0.8429
Nb 0.3164 0.0456 0.8032
Nb 0.3261 0.5400 0.8013
Nb 0.6739 0.4600 0.1987
Nb 0.6836 0.9544 0.1968
Te 0.1790 0.7044 0.1969
Te 0.2386 0.8735 0.4926
Te 0.7614 0.1265 0.5074
Te 0.8210 0.2956 0.8031
O 0.0017 0.1016 0.7895
O 0.0052 0.4785 0.8213
O 0.0355 0.1745 0.4057
O 0.1112 0.6313 0.3843
O 0.2124 0.7852 0.8215
O 0.2569 0.0653 0.9739
O 0.3212 0.4437 0.9689
O 0.3231 0.0451 0.5885
O 0.3494 0.6509 0.5734
O 0.3630 0.3162 0.7173
O 0.3884 0.3902 0.2580
O 0.4044 0.9951 0.2228
O 0.5956 0.0049 0.7772
O 0.6116 0.6098 0.7420
O 0.6370 0.6838 0.2827
O 0.6506 0.3491 0.4266
O 0.6769 0.9549 0.4115
O 0.6788 0.5563 0.0311
O 0.7431 0.9347 0.0261
O 0.7876 0.2148 0.1785
O 0.8888 0.3687 0.6157
O 0.9645 0.8255 0.5943
O 0.9948 0.5215 0.1787
O 0.9983 0.8984 0.2105

Starting from a crystal structure in OQMD, relaxed with PBE, the PXRD pattern of Y4Nb2Co3C3 was calculated for Cu Ka.

Largest 6 diffraction maxima, sorted by position, 15° ≤ 2θ ≤ 90°:
31.0°, intensity 72; 31.1°, intensity 42; 36.4°, intensity 100; 36.5°, intensity 49; 40.6°, intensity 50; 53.8°, intensity 31

Unit cell a=5.8907 b=5.8907 c=13.9125 alpha=102.02 beta=102.02 gamma=60.17
Fractional coordinates of all 24 atoms:
Y 0.0442 0.1937 0.1112
Y 0.1187 0.2982 0.3887
Y 0.1937 0.0442 0.6112
Y 0.2982 0.1187 0.8887
Y 0.7018 0.8813 0.1113
Y 0.8063 0.9558 0.3888
Y 0.8813 0.7018 0.6113
Y 0.9558 0.8063 0.8888
Nb 0.3455 0.5255 0.0787
Nb 0.4745 0.6545 0.4213
Nb 0.5255 0.3455 0.5787
Nb 0.6545 0.4745 0.9213
Co 0.1807 0.5863 0.2480
Co 0.3594 0.6406 0.7500
Co 0.4137 0.8193 0.2520
Co 0.5863 0.1807 0.7480
Co 0.6406 0.3594 0.2500
Co 0.8193 0.4137 0.7520
C 0.0000 0.5000 0.0000
C 0.1991 0.6500 0.4992
C 0.3500 0.8009 0.0008
C 0.5000 0.0000 0.5000
C 0.6500 0.1991 0.9992
C 0.8009 0.3500 0.5008

Starting from a crystal structure in OQMD, relaxed with PBE, the PXRD pattern of Ho4CI2Br2Cl was calculated for Cu Ka.

Largest 6 diffraction maxima, sorted by position, 15° ≤ 2θ ≤ 90°:
29.5°, intensity 43; 31.0°, intensity 28; 32.4°, intensity 100; 34.0°, intensity 35; 44.0°, intensity 23; 44.7°, intensity 24

Unit cell a=9.4675 b=9.4675 c=7.9949 alpha=101.01 beta=101.01 gamma=23.29
Fractional coordinates of all 10 atoms:
Ho 0.0022 0.0022 0.2958
Ho 0.3697 0.3697 0.4372
Ho 0.6303 0.6303 0.5628
Ho 0.9978 0.9978 0.7042
C 0.5000 0.5000 0.5000
I 0.1636 0.1636 0.8573
I 0.8364 0.8364 0.1427
Br 0.1642 0.1642 0.3239
Br 0.8358 0.8358 0.6761
Cl 0.5000 0.5000 0.0000

Starting from a crystal structure in OQMD, relaxed with PBE, the PXRD pattern of Ta2Tl3Au3S8 was calculated for Cu Ka.

Largest 6 diffraction maxima, sorted by position, 15° ≤ 2θ ≤ 90°:
19.9°, intensity 60; 20.0°, intensity 51; 25.1°, intensity 100; 29.3°, intensity 59; 31.0°, intensity 51; 33.7°, intensity 88

Unit cell a=10.7751 b=10.7751 c=7.3645 alpha=94.29 beta=94.29 gamma=31.66
Fractional coordinates of all 16 atoms:
Ta 0.1296 0.1296 0.1924
Ta 0.8704 0.8704 0.8076
Tl 0.2296 0.7704 0.5000
Tl 0.5742 0.0357 0.2904
Tl 0.9643 0.4258 0.7096
Au 0.0204 0.9796 0.0000
Au 0.3624 0.3633 0.8119
Au 0.6367 0.6376 0.1881
S 0.0090 0.4292 0.1289
S 0.0601 0.6170 0.5566
S 0.1158 0.6793 0.0674
S 0.3207 0.8842 0.9326
S 0.3830 0.9399 0.4434
S 0.5708 0.9910 0.8711
S 0.7343 0.1780 0.7248
S 0.8220 0.2657 0.2752

Starting from a crystal structure in OQMD, relaxed with PBE, the PXRD pattern of Y3TaB7 was calculated for Cu Ka.

Largest 6 diffraction maxima, sorted by position, 15° ≤ 2θ ≤ 90°:
16.1°, intensity 100; 30.5°, intensity 73; 33.7°, intensity 52; 35.3°, intensity 89; 38.4°, intensity 56; 42.9°, intensity 89

Unit cell a=5.9991 b=14.2115 c=14.2115 alpha=162.21 beta=90.00 gamma=90.00
Fractional coordinates of all 22 atoms:
Y 0.0000 0.1593 0.8399
Y 0.0000 0.8399 0.1593
Y 0.2441 0.0607 0.9393
Y 0.2441 0.9393 0.0607
Y 0.7559 0.0607 0.9393
Y 0.7559 0.9393 0.0607
Ta 0.0000 0.2763 0.7216
Ta 0.0000 0.7216 0.2763
B 0.0000 0.4096 0.5904
B 0.0000 0.5904 0.4096
B 0.1762 0.3638 0.6359
B 0.1762 0.6359 0.3638
B 0.3516 0.3201 0.6801
B 0.3516 0.6801 0.3201
B 0.3609 0.2566 0.7454
B 0.3609 0.7454 0.2566
B 0.6391 0.2566 0.7454
B 0.6391 0.7454 0.2566
B 0.6484 0.3201 0.6801
B 0.6484 0.6801 0.3201
B 0.8238 0.3638 0.6359
B 0.8238 0.6359 0.3638

Starting from a crystal structure in OQMD, relaxed with PBE, the PXRD pattern of KGdAsO was calculated for Cu Ka.

Largest 6 diffraction maxima, sorted by position, 15° ≤ 2θ ≤ 90°:
19.7°, intensity 97; 26.8°, intensity 100; 29.8°, intensity 47; 31.8°, intensity 45; 35.2°, intensity 43; 44.1°, intensity 45

Unit cell a=4.9358 b=6.8631 c=5.9924 alpha=90.00 beta=90.00 gamma=90.00
Fractional coordinates of all 8 atoms:
K 0.0000 0.1270 0.0000
K 0.0000 0.8730 0.5000
Gd 0.5000 0.2218 0.5010
Gd 0.5000 0.7782 0.0010
As 0.0000 0.4390 0.4442
As 0.0000 0.5610 0.9442
O 0.5000 0.0068 0.7604
O 0.5000 0.9932 0.2604

Starting from a crystal structure in OQMD, relaxed with PBE, the PXRD pattern of Ho3Al3CuNiGe was calculated for Cu Ka.

Largest 6 diffraction maxima, sorted by position, 15° ≤ 2θ ≤ 90°:
21.8°, intensity 26; 25.7°, intensity 37; 33.9°, intensity 100; 37.1°, intensity 80; 39.6°, intensity 27; 59.9°, intensity 30

Unit cell a=6.9460 b=6.9460 c=4.0774 alpha=90.00 beta=90.00 gamma=120.00
Fractional coordinates of all 9 atoms:
Ho 0.0806 0.3422 0.0000
Ho 0.2617 0.9194 0.0000
Ho 0.6578 0.7383 0.0000
Al 0.4393 0.3410 0.5000
Al 0.6590 0.0983 0.5000
Al 0.9017 0.5607 0.5000
Cu 0.3333 0.6667 0.5000
Ni 0.6667 0.3333 0.0000
Ge 0.0000 0.0000 0.5000

Starting from a crystal structure in OQMD, relaxed with PBE, the PXRD pattern of Sm2Dy was calculated for Cu Ka.

Largest 6 diffraction maxima, sorted by position, 15° ≤ 2θ ≤ 90°:
27.0°, intensity 28; 31.8°, intensity 100; 33.2°, intensity 38; 50.8°, intensity 36; 55.7°, intensity 31; 78.7°, intensity 22

Unit cell a=6.6021 b=6.6021 c=6.6021 alpha=60.00 beta=60.00 gamma=60.00
Fractional coordinates of all 6 atoms:
Sm 0.0000 0.0000 0.0000
Sm 0.0000 0.0000 0.5000
Sm 0.0000 0.5000 0.0000
Sm 0.5000 0.0000 0.0000
Dy 0.3750 0.3750 0.3750
Dy 0.6250 0.6250 0.6250

Starting from a crystal structure in OQMD, relaxed with PBE, the PXRD pattern of Cu2BSb was calculated for Cu Ka.

Largest 6 diffraction maxima, sorted by position, 15° ≤ 2θ ≤ 90°:
25.0°, intensity 19; 32.4°, intensity 66; 41.4°, intensity 100; 44.0°, intensity 27; 62.0°, intensity 22; 75.5°, intensity 17

Unit cell a=6.1719 b=6.1719 c=6.1719 alpha=90.00 beta=90.00 gamma=90.00
Fractional coordinates of all 16 atoms:
Cu 0.2013 0.2013 0.2013
Cu 0.2013 0.2013 0.7987
Cu 0.2013 0.7987 0.2013
Cu 0.2013 0.7987 0.7987
Cu 0.7987 0.2013 0.2013
Cu 0.7987 0.2013 0.7987
Cu 0.7987 0.7987 0.2013
Cu 0.7987 0.7987 0.7987
B 0.0000 0.0000 0.0000
B 0.0000 0.0000 0.5000
B 0.0000 0.5000 0.0000
B 0.5000 0.0000 0.0000
Sb 0.0000 0.5000 0.5000
Sb 0.5000 0.0000 0.5000
Sb 0.5000 0.5000 0.0000
Sb 0.5000 0.5000 0.5000

Starting from a crystal structure in OQMD, relaxed with PBE, the PXRD pattern of NdGa4Pd6 was calculated for Cu Ka.

Largest 6 diffraction maxima, sorted by position, 15° ≤ 2θ ≤ 90°:
33.2°, intensity 23; 36.1°, intensity 100; 37.3°, intensity 34; 43.9°, intensity 35; 45.8°, intensity 25; 49.4°, intensity 24

Unit cell a=7.3733 b=7.3733 c=3.9597 alpha=90.00 beta=90.00 gamma=120.00
Fractional coordinates of all 11 atoms:
Nd 0.0000 0.0000 0.0000
Ga 0.3333 0.6667 0.0000
Ga 0.3998 0.1999 0.5000
Ga 0.8001 0.1999 0.5000
Ga 0.8001 0.6002 0.5000
Pd 0.1992 0.3985 0.5000
Pd 0.1992 0.8008 0.5000
Pd 0.5338 0.0675 0.0000
Pd 0.5338 0.4662 0.0000
Pd 0.6015 0.8008 0.5000
Pd 0.9325 0.4662 0.0000